Starting from DFT lattice parameters and positions (GGA+U), the powder diffraction line list of BaV6O11 was computed for Cu Kα (λ = 1.5418 Å).
Kinematic intensities with the Lorentz-polarization factor, no thermal factor.

Structure:
```
BaV6O11
1.0
5.947 0.000 0.000
-2.974 5.150 0.000
0.000 0.000 13.526
Ba V O
2 12 22
Cartesian
0.000 3.434 3.381
2.974 1.717 10.144
0.000 0.000 1.970
0.000 0.000 4.793
0.000 0.000 8.733
0.000 0.000 11.556
-1.487 2.575 0.000
-1.487 2.575 6.763
0.000 3.434 10.144
2.974 0.000 0.000
2.974 0.000 6.763
1.487 2.575 0.000
1.487 2.575 6.763
2.974 1.717 3.381
0.000 1.530 10.144
-1.649 4.385 10.144
0.000 1.788 1.035
0.000 1.788 5.728
-1.425 4.256 1.035
-1.425 4.256 5.728
1.325 0.765 3.381
0.000 3.434 7.883
0.000 3.434 12.405
1.549 0.894 7.798
1.549 0.894 12.491
1.425 4.256 1.035
1.425 4.256 5.728
2.974 1.717 1.120
2.974 1.717 5.643
1.649 4.385 10.144
4.398 0.894 7.798
4.398 0.894 12.491
2.974 3.362 7.798
2.974 3.362 12.491
4.622 0.765 3.381
2.974 3.620 3.381
```

Peak list (12 most intense, 10 to 80 degrees two-theta, by intensity)
- 2θ = 32.9°, rel. 100.0
- 2θ = 31.7°, rel. 81.3
- 2θ = 54.1°, rel. 55.8
- 2θ = 30.1°, rel. 50.4
- 2θ = 37.4°, rel. 47.8
- 2θ = 40.3°, rel. 46.2
- 2θ = 54.4°, rel. 39.6
- 2θ = 26.3°, rel. 39.0
- 2θ = 62.5°, rel. 38.6
- 2θ = 18.4°, rel. 22.5
- 2θ = 55.2°, rel. 21.1
- 2θ = 71.7°, rel. 14.1


Starting from DFT lattice parameters and positions (GGA+U), the powder diffraction line list of Mn3O2F4 was computed for Cu Kα (λ = 1.5418 Å).
Kinematic intensities with the Lorentz-polarization factor, no thermal factor.

Structure:
```
Mn3O2F4
1.0
4.791 -3.238 0.000
4.791 3.238 0.000
-3.259 0.000 7.130
Mn O F
6 4 8
Cartesian
4.791 3.236 0.000
0.544 0.000 6.006
2.089 -0.205 2.346
5.780 0.000 1.124
4.235 -0.205 4.783
3.162 -3.214 3.565
4.791 1.269 0.000
2.045 -2.086 2.310
4.791 -1.274 0.000
4.278 -2.086 4.820
2.071 1.826 2.328
0.006 -0.080 2.131
2.065 -0.066 0.285
4.253 1.826 4.801
2.149 -0.106 4.434
4.174 -0.106 2.695
4.258 -0.066 6.844
6.318 -0.080 4.999
```

Peak list (12 most intense, 10 to 80 degrees two-theta, by intensity)
- 2θ = 24.8°, rel. 100.0
- 2θ = 33.8°, rel. 88.8
- 2θ = 27.5°, rel. 79.6
- 2θ = 49.8°, rel. 67.6
- 2θ = 52.8°, rel. 44.3
- 2θ = 65.2°, rel. 40.1
- 2θ = 51.0°, rel. 19.0
- 2θ = 37.8°, rel. 18.0
- 2θ = 39.7°, rel. 17.5
- 2θ = 58.1°, rel. 17.3
- 2θ = 37.4°, rel. 13.7
- 2θ = 56.9°, rel. 13.2


Starting from DFT lattice parameters and positions (GGA+U), the powder diffraction line list of Li2FeSiO5 was computed for Cu Kα (λ = 1.5418 Å).
Kinematic intensities with the Lorentz-polarization factor, no thermal factor.

Structure:
```
Li2FeSiO5
1.0
6.458 0.000 0.000
0.000 6.458 0.000
0.000 0.000 8.879
Li Fe Si O
8 4 4 20
Cartesian
1.609 1.609 0.000
1.609 1.609 4.436
1.609 4.849 0.000
1.609 4.848 4.436
4.849 1.609 0.000
4.848 1.609 4.436
4.849 4.849 0.000
4.848 4.848 4.436
0.000 0.000 2.498
0.000 0.000 7.345
3.229 3.229 1.519
3.229 3.229 6.362
0.000 3.229 2.253
0.000 3.229 6.614
3.229 0.000 2.253
3.229 0.000 6.614
0.000 0.000 0.645
0.000 0.000 5.617
0.000 1.891 3.197
0.000 1.943 7.643
0.000 4.515 7.643
0.000 4.567 3.197
1.287 3.229 1.223
1.337 3.229 5.668
1.891 0.000 3.197
1.943 0.000 7.643
3.229 1.287 1.223
3.229 1.337 5.668
3.229 3.229 3.246
3.229 3.229 8.214
3.229 5.121 5.668
3.229 5.171 1.223
4.515 0.000 7.643
4.567 0.000 3.197
5.121 3.229 5.668
5.171 3.229 1.223
```

Peak list (12 most intense, 10 to 80 degrees two-theta, by intensity)
- 2θ = 27.6°, rel. 100.0
- 2θ = 34.3°, rel. 67.7
- 2θ = 24.3°, rel. 55.2
- 2θ = 20.0°, rel. 55.1
- 2θ = 57.0°, rel. 26.3
- 2θ = 46.9°, rel. 24.5
- 2θ = 43.1°, rel. 21.5
- 2θ = 44.4°, rel. 19.0
- 2θ = 19.4°, rel. 16.2
- 2θ = 68.3°, rel. 15.6
- 2θ = 57.9°, rel. 15.2
- 2θ = 39.5°, rel. 13.1


Starting from DFT lattice parameters and positions (GGA+U), the powder diffraction line list of MnSeO3 was computed for Cu Kα (λ = 1.5418 Å).
Kinematic intensities with the Lorentz-polarization factor, no thermal factor.

Structure:
```
MnSeO3
1.0
8.190 0.000 0.000
0.000 8.492 0.000
-6.113 0.000 8.726
Mn Se O
8 8 24
Cartesian
0.113 1.739 0.127
-2.944 2.507 4.490
-2.866 1.023 7.644
0.190 3.223 3.280
1.888 5.269 5.446
4.944 7.469 1.083
5.021 5.985 4.236
1.965 6.753 8.599
-3.963 4.271 7.249
-0.907 8.467 2.886
2.266 5.351 1.839
-0.791 7.387 6.202
2.869 1.105 2.524
-0.188 3.141 6.887
2.985 0.025 5.840
6.041 4.221 1.477
-2.022 4.341 3.232
-5.079 8.397 7.595
-3.655 0.750 5.601
-0.599 3.496 1.237
-1.239 1.578 3.454
-4.295 2.668 7.818
-1.637 5.997 5.710
1.420 6.741 1.347
1.336 1.777 2.037
-1.720 2.469 6.400
1.508 4.961 3.362
-1.548 7.776 7.725
3.626 0.715 1.001
0.570 3.530 5.364
3.798 6.023 2.327
0.742 6.715 6.690
0.658 1.751 7.379
3.715 2.495 3.016
6.373 5.823 0.909
3.317 6.914 5.272
2.677 4.996 7.489
5.733 7.742 3.126
7.156 0.095 1.131
4.100 4.151 5.494
```

Peak list (12 most intense, 10 to 80 degrees two-theta, by intensity)
- 2θ = 26.9°, rel. 100.0
- 2θ = 24.7°, rel. 88.2
- 2θ = 30.8°, rel. 66.6
- 2θ = 23.7°, rel. 64.5
- 2θ = 33.8°, rel. 51.9
- 2θ = 30.2°, rel. 48.4
- 2θ = 35.4°, rel. 31.4
- 2θ = 56.5°, rel. 30.5
- 2θ = 44.8°, rel. 28.6
- 2θ = 33.2°, rel. 27.9
- 2θ = 58.1°, rel. 24.8
- 2θ = 22.9°, rel. 24.4


Starting from DFT lattice parameters and positions (GGA+U), the powder diffraction line list of Li2MgCo3O8 was computed for Cu Kα (λ = 1.5418 Å).
Kinematic intensities with the Lorentz-polarization factor, no thermal factor.

Structure:
```
Li2MgCo3O8
1.0
4.965 -2.870 0.000
4.965 2.870 0.000
-3.411 0.000 4.864
Li Mg Co O
2 1 3 8
Cartesian
0.000 0.000 0.000
4.965 0.000 0.000
-1.706 0.000 2.432
0.777 1.435 2.432
0.777 -1.435 2.432
3.259 0.000 2.432
2.355 1.342 3.436
0.075 0.000 3.404
1.588 0.000 1.434
4.164 1.342 1.429
2.355 -1.342 3.436
4.931 0.000 3.430
6.444 0.000 1.461
4.164 -1.342 1.429
```

Peak list (12 most intense, 10 to 80 degrees two-theta, by intensity)
- 2θ = 18.2°, rel. 100.0
- 2θ = 43.9°, rel. 37.0
- 2θ = 36.6°, rel. 20.4
- 2θ = 44.6°, rel. 17.9
- 2θ = 65.0°, rel. 14.6
- 2θ = 36.9°, rel. 14.0
- 2θ = 57.4°, rel. 10.3
- 2θ = 63.6°, rel. 9.1
- 2θ = 18.9°, rel. 6.4
- 2θ = 18.8°, rel. 5.9
- 2θ = 48.4°, rel. 5.4
- 2θ = 58.4°, rel. 5.0


Starting from DFT lattice parameters and positions (GGA+U), the powder diffraction line list of Li9Mn2Co5O16 was computed for Cu Kα (λ = 1.5418 Å).
Kinematic intensities with the Lorentz-polarization factor, no thermal factor.

Structure:
```
Li9Mn2Co5O16
1.0
2.635 -1.427 0.000
2.635 1.427 0.000
-0.180 0.000 39.159
Li Mn Co O
9 2 5 16
Cartesian
0.000 0.000 0.000
0.178 0.000 31.818
0.524 0.000 24.536
1.276 0.000 9.736
1.853 0.000 34.235
2.553 0.000 19.540
3.259 0.000 4.873
3.762 0.000 29.431
4.517 0.000 14.736
2.896 0.000 12.244
4.166 0.000 22.017
0.900 0.000 17.136
1.638 0.000 2.451
2.166 0.000 26.925
3.451 0.000 36.739
4.902 0.000 7.325
-0.057 0.000 35.659
0.372 0.000 27.987
0.842 0.000 20.856
0.951 0.000 13.407
1.543 0.000 6.240
1.655 0.000 37.890
1.998 0.000 30.579
2.237 0.000 23.151
2.821 0.000 16.049
2.981 0.000 8.420
3.544 0.000 1.382
3.614 0.000 33.065
3.978 0.000 25.789
4.251 0.000 18.219
4.842 0.000 11.092
4.980 0.000 3.549
```

Peak list (12 most intense, 10 to 80 degrees two-theta, by intensity)
- 2θ = 18.1°, rel. 100.0
- 2θ = 44.2°, rel. 52.9
- 2θ = 41.2°, rel. 33.8
- 2θ = 36.5°, rel. 24.1
- 2θ = 34.3°, rel. 20.2
- 2θ = 62.1°, rel. 16.5
- 2θ = 61.9°, rel. 16.3
- 2θ = 47.1°, rel. 10.9
- 2θ = 58.0°, rel. 9.5
- 2θ = 37.6°, rel. 8.0
- 2θ = 63.2°, rel. 7.2
- 2θ = 65.4°, rel. 7.1


Starting from DFT lattice parameters and positions (GGA+U), the powder diffraction line list of Ba2Ca3Tl2Ni4O12 was computed for Cu Kα (λ = 1.5418 Å).
Kinematic intensities with the Lorentz-polarization factor, no thermal factor.

Structure:
```
Ba2Ca3Tl2Ni4O12
1.0
-1.910 1.910 21.787
1.910 -1.910 21.787
1.910 1.910 -21.787
Ba Ca Tl Ni O
2 3 2 4 12
Cartesian
0.000 0.000 6.827
0.000 0.000 36.746
0.000 0.000 0.000
0.000 0.000 3.237
0.000 0.000 40.336
0.000 0.000 12.052
0.000 0.000 31.521
0.000 0.000 17.000
0.000 0.000 20.163
0.000 0.000 23.411
0.000 0.000 26.573
1.910 0.000 1.616
1.910 0.000 4.797
0.000 0.000 9.955
0.000 0.000 14.099
1.910 0.000 16.989
1.910 0.000 20.170
0.000 1.910 1.616
0.000 1.910 4.797
0.000 0.000 29.474
0.000 0.000 33.618
0.000 1.910 16.989
0.000 1.910 20.170
```

Peak list (12 most intense, 10 to 80 degrees two-theta, by intensity)
- 2θ = 29.8°, rel. 100.0
- 2θ = 33.2°, rel. 95.1
- 2θ = 27.4°, rel. 80.8
- 2θ = 47.6°, rel. 53.1
- 2θ = 32.6°, rel. 37.9
- 2θ = 57.2°, rel. 33.4
- 2θ = 47.4°, rel. 26.6
- 2θ = 33.4°, rel. 26.3
- 2θ = 32.9°, rel. 24.7
- 2θ = 55.8°, rel. 23.7
- 2θ = 50.6°, rel. 21.1
- 2θ = 35.6°, rel. 18.9